# 1
Sr3Zn2TeO8: simulated XRD peak list (Cu Kα (weighted mean of Kα1 and Kα2)), based on a crystal structure in Alexandria, relaxed with GGA-PBE.
No peak broadening, texture or thermal motion is included.

Most intense lines, 2θ from 10° to 80°, in order of rising 2θ:
d 7.377, 2θ 12.00, intensity 17.7; d 2.950, 2θ 30.30, intensity 81.8; d 2.836, 2θ 31.55, intensity 100.0; d 2.199, 2θ 41.05, intensity 7.6; d 2.044, 2θ 44.31, intensity 45.6; d 1.727, 2θ 53.04, intensity 17.3; d 1.658, 2θ 55.40, intensity 30.5; d 1.637, 2θ 56.18, intensity 18.7; d 1.475, 2θ 63.03, intensity 15.2; d 1.418, 2θ 65.87, intensity 16.3; d 1.308, 2θ 72.20, intensity 15.3; d 1.278, 2θ 74.20, intensity 13.0

Crystal structure
Unit cell a=5.6720 b=5.6720 c=7.3771 alpha=90.00 beta=90.00 gamma=120.00
Space group P-3m1 (No. 164)
Symmetry-distinct sites (fractional):
1 Sr 0.0000 0.0000 0.0000 x1
2 Sr 0.3333 0.6667 0.6426 x2
3 Zn 0.3333 0.6667 0.1931 x2
4 Te 0.0000 0.0000 0.5000 x1
5 O 0.1600 0.3200 0.3441 x6
6 O 0.3333 0.6667 0.9477 x2

# 2
SrTi2O: simulated XRD peak list (Cu Kα (weighted mean of Kα1 and Kα2)), based on a crystal structure in Alexandria, relaxed with GGA-PBE.
No peak broadening, texture or thermal motion is included.

Most intense lines, 2θ from 10° to 80°, in order of rising 2θ:
d 3.190, 2θ 27.97, intensity 89.4; d 2.720, 2θ 32.92, intensity 100.0; d 2.605, 2θ 34.43, intensity 27.7; d 1.842, 2θ 49.49, intensity 34.3; d 1.736, 2θ 52.71, intensity 33.9; d 1.595, 2θ 57.81, intensity 37.0; d 1.427, 2θ 65.42, intensity 14.2; d 1.376, 2θ 68.15, intensity 11.7; d 1.360, 2θ 69.05, intensity 9.0; d 1.206, 2θ 79.49, intensity 16.1

Crystal structure
Unit cell a=9.0228 b=9.0228 c=9.0228 alpha=90.00 beta=90.00 gamma=90.00
Space group Fd-3m (No. 227, origin choice 2)
Symmetry-distinct sites (fractional):
1 Sr 0.1250 0.1250 0.1250 x8
2 Ti 0.0000 0.0000 0.5000 x16
3 O 0.1250 0.1250 0.6250 x8

# 3
Sr2Ti6O13: simulated XRD peak list (Cu Kα (weighted mean of Kα1 and Kα2)), based on a crystal structure in Alexandria, relaxed with GGA-PBE.
No peak broadening, texture or thermal motion is included.

Most intense lines, 2θ from 10° to 80°, in order of rising 2θ:
d 4.559, 2θ 19.47, intensity 31.6; d 3.056, 2θ 29.22, intensity 87.4; d 2.973, 2θ 30.06, intensity 100.0; d 2.955, 2θ 30.25, intensity 30.9; d 2.865, 2θ 31.22, intensity 36.9; d 2.823, 2θ 31.70, intensity 47.0; d 2.673, 2θ 33.53, intensity 38.4; d 2.066, 2θ 43.82, intensity 74.9; d 2.030, 2θ 44.65, intensity 45.5; d 1.964, 2θ 46.23, intensity 70.6; d 1.423, 2θ 65.59, intensity 27.1; d 1.411, 2θ 66.23, intensity 31.0

Crystal structure
Unit cell a=14.7169 b=3.9279 c=9.2066 alpha=90.00 beta=98.00 gamma=90.00
Space group C2/m (No. 12)
Symmetry-distinct sites (fractional):
1 Sr 0.0495 0.0000 0.2815 x4
2 Ti 0.1221 0.5000 0.5995 x4
3 Ti 0.1645 0.5000 0.9447 x4
4 Ti 0.2459 0.5000 0.2733 x4
5 O 0.0000 0.5000 0.5000 x2
6 O 0.0651 0.5000 0.8014 x4
7 O 0.1247 0.0000 0.6174 x4
8 O 0.1251 0.5000 0.1218 x4
9 O 0.1696 0.5000 0.4158 x4
10 O 0.1980 0.0000 0.9312 x4
11 O 0.2434 0.5000 0.7485 x4

# 4
Sr5Ti5O13: simulated XRD peak list (Cu Kα (weighted mean of Kα1 and Kα2)), based on a crystal structure in Alexandria, relaxed with GGA-PBE.
No peak broadening, texture or thermal motion is included.

Most intense lines, 2θ from 10° to 80°, in order of rising 2θ:
d 2.798, 2θ 31.98, intensity 100.0; d 2.789, 2θ 32.10, intensity 56.4; d 2.283, 2θ 39.46, intensity 20.1; d 1.985, 2θ 45.70, intensity 19.7; d 1.972, 2θ 46.03, intensity 37.0; d 1.618, 2θ 56.91, intensity 15.9; d 1.614, 2θ 57.08, intensity 24.7; d 1.612, 2θ 57.15, intensity 9.6; d 1.609, 2θ 57.24, intensity 9.5; d 1.400, 2θ 66.82, intensity 10.8; d 1.398, 2θ 66.93, intensity 10.7; d 1.248, 2θ 76.30, intensity 8.2

Crystal structure
Unit cell a=5.6030 b=6.8498 c=8.8085 alpha=75.01 beta=71.62 gamma=89.73
Space group P-1 (No. 2)
Symmetry-distinct sites (fractional):
1 Sr 0.0000 0.0000 0.0000 x1
2 Sr 0.2040 0.8033 0.6013 x2
3 Sr 0.4036 0.5944 0.1971 x2
4 Ti 0.0000 0.5000 0.0000 x1
5 Ti 0.2045 0.2951 0.6106 x2
6 Ti 0.3907 0.1066 0.2066 x2
7 O 0.0846 0.4345 0.7827 x2
8 O 0.1178 0.8805 0.2950 x2
9 O 0.2048 0.2791 0.0800 x2
10 O 0.2818 0.2053 0.4008 x2
11 O 0.3062 0.7027 0.9097 x2
12 O 0.3879 0.0970 0.7114 x2
13 O 0.5000 0.5000 0.5000 x1

# 5
SrTi3O6: simulated XRD peak list (Cu Kα (weighted mean of Kα1 and Kα2)), based on a crystal structure in Alexandria, relaxed with GGA-PBE.
No peak broadening, texture or thermal motion is included.

Most intense lines, 2θ from 10° to 80°, in order of rising 2θ:
d 3.880, 2θ 22.92, intensity 15.9; d 2.811, 2θ 31.84, intensity 100.0; d 2.681, 2θ 33.43, intensity 85.7; d 2.414, 2θ 37.25, intensity 13.2; d 2.330, 2θ 38.65, intensity 23.4; d 1.940, 2θ 46.83, intensity 53.0; d 1.769, 2θ 51.67, intensity 18.3; d 1.571, 2θ 58.76, intensity 38.6; d 1.548, 2θ 59.75, intensity 29.5; d 1.355, 2θ 69.38, intensity 12.9; d 1.340, 2θ 70.22, intensity 13.5; d 1.210, 2θ 79.17, intensity 12.4

Crystal structure
Unit cell a=5.3612 b=5.3612 c=14.1268 alpha=90.00 beta=90.00 gamma=120.00
Space group R3 (No. 146, hexagonal axes)
Symmetry-distinct sites (fractional):
1 Sr 0.0000 0.0000 0.0000 x3
2 Ti 0.0000 0.0000 0.2582 x3
3 Ti 0.0000 0.0000 0.4637 x3
4 Ti 0.0000 0.0000 0.7672 x3
5 O 0.0175 0.5647 0.0283 x9
6 O 0.0249 0.3352 0.8535 x9

# 6
SrTi7O12: simulated XRD peak list (Cu Kα (weighted mean of Kα1 and Kα2)), based on a crystal structure in Alexandria, relaxed with GGA-PBE.
No peak broadening, texture or thermal motion is included.

Most intense lines, 2θ from 10° to 80°, in order of rising 2θ:
d 5.384, 2θ 16.47, intensity 4.2; d 2.692, 2θ 33.29, intensity 100.0; d 2.408, 2θ 37.35, intensity 12.4; d 2.198, 2θ 41.07, intensity 5.6; d 2.035, 2θ 44.53, intensity 10.2; d 1.903, 2θ 47.79, intensity 30.8; d 1.554, 2θ 59.48, intensity 51.4; d 1.493, 2θ 62.17, intensity 2.1; d 1.346, 2θ 69.89, intensity 13.7; d 1.306, 2θ 72.37, intensity 2.4; d 1.235, 2θ 77.25, intensity 3.2; d 1.204, 2θ 79.64, intensity 16.1

Crystal structure
Unit cell a=7.6135 b=7.6135 c=7.6135 alpha=90.00 beta=90.00 gamma=90.00
Space group Im-3 (No. 204)
Symmetry-distinct sites (fractional):
1 Sr 0.0000 0.0000 0.0000 x2
2 Ti 0.0000 0.0000 0.5000 x6
3 Ti 0.2500 0.2500 0.2500 x8
4 O 0.0000 0.1852 0.3076 x24

# 7
SrTiTl2O4: simulated XRD peak list (Cu Kα (weighted mean of Kα1 and Kα2)), based on a crystal structure in Alexandria, relaxed with GGA-PBE.
No peak broadening, texture or thermal motion is included.

Most intense lines, 2θ from 10° to 80°, in order of rising 2θ:
d 4.686, 2θ 18.94, intensity 62.1; d 4.357, 2θ 20.38, intensity 30.8; d 3.445, 2θ 25.86, intensity 34.4; d 3.429, 2θ 25.98, intensity 75.3; d 2.928, 2θ 30.53, intensity 100.0; d 2.842, 2θ 31.47, intensity 26.3; d 2.779, 2θ 32.21, intensity 38.5; d 2.296, 2θ 39.23, intensity 29.7; d 1.784, 2θ 51.20, intensity 26.6; d 1.770, 2θ 51.63, intensity 26.4; d 1.645, 2θ 55.88, intensity 17.8; d 1.632, 2θ 56.39, intensity 22.5

Crystal structure
Unit cell a=7.5006 b=8.7139 c=5.5582 alpha=90.00 beta=90.00 gamma=90.00
Space group Pmn2_1 (No. 31)
Symmetry-distinct sites (fractional):
1 Sr 0.0000 0.1106 0.0000 x2
2 Ti 0.0000 0.8749 0.4855 x2
3 Tl 0.2486 0.3156 0.5040 x4
4 O 0.0000 0.0847 0.5448 x2
5 O 0.0000 0.8522 0.1530 x2
6 O 0.2054 0.7917 0.6045 x4

# 8
Sr2TiTlO5: simulated XRD peak list (Cu Kα (weighted mean of Kα1 and Kα2)), based on a crystal structure in Alexandria, relaxed with GGA-PBE.
No peak broadening, texture or thermal motion is included.

Most intense lines, 2θ from 10° to 80°, in order of rising 2θ:
d 7.808, 2θ 11.33, intensity 47.6; d 4.196, 2θ 21.17, intensity 45.1; d 3.240, 2θ 27.53, intensity 51.8; d 3.071, 2θ 29.07, intensity 92.6; d 3.053, 2θ 29.25, intensity 35.0; d 2.912, 2θ 30.71, intensity 39.5; d 2.795, 2θ 32.03, intensity 68.7; d 2.518, 2θ 35.66, intensity 40.6; d 2.488, 2θ 36.10, intensity 26.9; d 2.384, 2θ 37.74, intensity 100.0; d 2.113, 2θ 42.79, intensity 48.8; d 1.761, 2θ 51.92, intensity 28.1

Crystal structure
Unit cell a=3.5127 b=15.6154 c=9.9517 alpha=90.00 beta=90.00 gamma=90.00
Space group Cmc2_1 (No. 36)
Symmetry-distinct sites (fractional):
1 Sr 0.0000 0.1104 0.0000 x4
2 Sr 0.0000 0.1270 0.5964 x4
3 Ti 0.0000 0.4783 0.7686 x4
4 Tl 0.0000 0.2256 0.3068 x4
5 O 0.0000 0.0367 0.3452 x4
6 O 0.0000 0.2774 0.9879 x4
7 O 0.0000 0.3581 0.6998 x4
8 O 0.0000 0.3970 0.3115 x4
9 O 0.0000 0.4917 0.0903 x4